Structure and simulated powder X-ray diffraction pattern of In2P3H3O10 (a crystal structure in the Materials Project, relaxed with GGA-PBE; Cu Kα X-rays).

Main lines, by angle (10 to 90 degrees two-theta):
2θ/deg, I_rel
12.4, 87
15.0, 100
16.3, 98
21.0, 94
26.8, 66
30.2, 82

Structure:
```
data_In2P3H3O10
_chemical_formula_sum 'In4 P6 H6 O20'
_space_group_name_H-M_alt 'P 1 21 1'
_space_group_IT_number 4
_space_group_name_Hall 'P 2yb'
_cell_length_a 6.719
_cell_length_b 10.467
_cell_length_c 7.554
_cell_angle_alpha 90.00
_cell_angle_beta 108.45
_cell_angle_gamma 90.00
loop_
_atom_site_label
_atom_site_type_symbol
_atom_site_fract_x
_atom_site_fract_y
_atom_site_fract_z
In1 In 0.072 0.000 0.031
In2 In 0.323 0.165 0.746
P1 P 0.195 0.277 0.310
P2 P 0.199 0.720 0.307
P3 P 0.406 0.464 0.900
H1 H 0.199 0.727 0.492
H2 H 0.387 0.334 0.316
H3 H 0.404 0.490 0.716
O1 O 0.011 0.147 0.800
O2 O 0.014 0.356 0.181
O3 O 0.182 0.280 0.510
O4 O 0.193 0.981 0.587
O5 O 0.202 0.857 0.237
O6 O 0.206 0.139 0.243
O7 O 0.223 0.534 0.932
O8 O 0.380 0.023 0.972
O9 O 0.388 0.638 0.306
O10 O 0.408 0.320 0.932
```

=====

Structure and simulated powder X-ray diffraction pattern of InPH2O5 (a crystal structure in the Materials Project, relaxed with GGA-PBE; Cu Kα X-rays).

Main lines, by angle (10 to 90 degrees two-theta):
2θ/deg, I_rel
16.9, 38
19.9, 100
27.2, 58
27.5, 27
28.6, 21
33.2, 30

Structure:
```
data_InPH2O5
_chemical_formula_sum 'In2 P2 H4 O10'
_space_group_name_H-M_alt 'P -1'
_space_group_IT_number 2
_space_group_name_Hall '-P 1'
_cell_length_a 5.516
_cell_length_b 5.568
_cell_length_c 6.651
_cell_angle_alpha 97.18
_cell_angle_beta 94.36
_cell_angle_gamma 107.22
loop_
_atom_site_label
_atom_site_type_symbol
_atom_site_fract_x
_atom_site_fract_y
_atom_site_fract_z
In1 In 0.139 0.233 0.221
P1 P 0.235 0.376 0.744
H1 H 0.406 0.854 0.260
H2 H 0.420 0.871 0.785
O1 O 0.084 0.271 0.533
O2 O 0.140 0.162 0.882
O3 O 0.178 0.621 0.838
O4 O 0.421 0.038 0.268
O5 O 0.472 0.569 0.253
```